For CaAc2Ag4, a structure optimized by DFT (GGA-PBE) gives the calculated powder X-ray diffraction pattern in this record (Cu Kα, 1.54184 Å).

Atomic structure:
Unit cell a=5.3623 b=5.3623 c=26.4433 alpha=90.00 beta=90.00 gamma=120.00
Space group R-3m (No. 166, hexagonal axes)
Asymmetric unit:
Ca: 0.0000 0.0000 0.0000 (multiplicity 3)
Ac: 0.0000 0.0000 0.2420 (multiplicity 6)
Ag: 0.0000 0.0000 0.1187 (multiplicity 6)
Ag: 0.0000 0.0000 0.3667 (multiplicity 6)

Most intense lines, 2θ = 5–70°, in order of rising 2θ:
hkl  2θ (°)  I (rel.)
0 1 2  20.3  62
0 1 8  33.3  88
1 1 0  33.4  100
2 0 2  39.4  31
2 0 8  47.9  31
3 0 0  59.7  50